Starting from a crystal structure in the Materials Project, relaxed with PBE, the X-ray diffraction stick pattern of YPaRu2 was computed for copper Kα.
No peak broadening, texture or thermal motion is included.

Structural model:
a = 6.8560 Å, b = 6.8560 Å, c = 6.8560 Å
α = 90.00°, β = 90.00°, γ = 90.00°
Space group Fm-3m (No. 225)
Unique sites:
Y 0.0000 0.0000 0.0000 [4 per cell]
Pa 0.0000 0.0000 0.5000 [4 per cell]
Ru 0.2500 0.2500 0.2500 [8 per cell]

Main lines, low angle first (2θ from 5° to 70°):
hkl 1 1 1, 22.5 deg, rel. 15.1
hkl 2 0 0, 26.0 deg, rel. 5.3
hkl 2 2 0, 37.1 deg, rel. 100.0
hkl 3 1 1, 43.8 deg, rel. 8.7
hkl 2 2 2, 45.8 deg, rel. 1.7
hkl 4 0 0, 53.5 deg, rel. 17.4
hkl 3 3 1, 58.7 deg, rel. 3.9
hkl 4 2 0, 60.4 deg, rel. 2.4
hkl 4 2 2, 66.9 deg, rel. 35.4